# RbNi
Calculated PXRD pattern, copper Kα. Input: a DFT-relaxed cell (GGA-PBE, OQMD).
Peak positions follow from Bragg's law for the DFT cell and can differ from measured ones.

Most intense lines, 2θ = 10–90°, in order of rising 2θ:
2θ = 12.8°, 6.916 Å, intensity 53.4, (0 0 1)
2θ = 23.0°, 3.859 Å, intensity 44.5, (0 1 1)
2θ = 24.7°, 3.598 Å, intensity 31.6, (1 0 1)
2θ = 31.4°, 2.845 Å, intensity 100.0, (1 1 1)
2θ = 32.3°, 2.775 Å, intensity 71.6, (0 1 2)
2θ = 44.8°, 2.022 Å, intensity 30.3, (1 0 3)

Structure:
```
RbNi
1.0
4.2124 0.0000 0.0000
0.0000 4.6502 0.0000
0.0000 0.0000 6.9156
Rb Ni
2 2
Direct
0.2500 0.0000 0.2362
0.7500 0.0000 0.7638
0.2500 0.5000 0.5563
0.7500 0.5000 0.4437
```